For LiCoPO4F, the GGA+U geometry in Alexandria gives the theoretical powder X-ray diffraction pattern in this record (Cu Kα (weighted mean of Kα1 and Kα2)).
Lines closer than 0.1° are merged.

Atomic structure:
```
LiCoPO4F
1.0
5.1607 0.0000 0.0000
-0.8004 5.2791 0.0000
-2.4587 -2.3769 6.5132
Li Co P O F
2 2 2 8 2
Direct
0.2366 0.3798 0.3099 Li
0.7634 0.6202 0.6901 Li
0.5000 0.0000 0.0000 Co
0.5000 0.0000 0.5000 Co
0.1801 0.3545 0.7333 P
0.8199 0.6455 0.2667 P
0.1366 0.7730 0.4231 O
0.1829 0.6467 0.8404 O
0.2567 0.1991 0.8844 O
0.3764 0.3426 0.6116 O
0.6236 0.6574 0.3884 O
0.7433 0.8009 0.1156 O
0.8171 0.3533 0.1596 O
0.8634 0.2270 0.5769 O
0.3636 0.0658 0.2319 F
0.6364 0.9342 0.7681 F
```

Most intense lines, 5° ≤ 2θ ≤ 70°, in order of rising 2θ:
17.9°, intensity 54.5; 18.4°, intensity 47.8; 18.9°, intensity 75.3; 22.4°, intensity 32.9; 25.6°, intensity 21.9; 26.5°, intensity 78.3; 27.0°, intensity 24.9; 27.1°, intensity 98.8; 29.5°, intensity 100.0; 34.6°, intensity 29.1; 36.2°, intensity 41.5; 55.6°, intensity 24.8